[1]
Li3PmRh4O12: calculated PXRD pattern (CuKα), based on a DFT-relaxed cell (GGA-PBE, Alexandria).

Structure:
abc: 6.514 6.514 6.514
angles: 109.47 109.47 109.47
Fractional positions:
Li: 0.000 0.500 0.500
Li: 0.500 0.000 0.500
Li: 0.500 0.500 0.000
Pm: 0.000 0.000 0.000
Rh: 0.000 0.000 0.500
Rh: 0.000 0.500 0.000
Rh: 0.500 0.000 0.000
Rh: 0.500 0.500 0.500
O: 0.125 0.826 0.299
O: 0.174 0.299 0.473
O: 0.174 0.701 0.875
O: 0.299 0.125 0.826
O: 0.299 0.473 0.174
O: 0.473 0.174 0.299
O: 0.527 0.826 0.701
O: 0.701 0.527 0.826
O: 0.701 0.875 0.174
O: 0.826 0.299 0.125
O: 0.826 0.701 0.527
O: 0.875 0.174 0.701

Peak list (10 most intense, 2θ = 10–90°, in order of falling intensity)
2θ = 33.7°, intensity 100; 2θ = 60.3°, intensity 51; 2θ = 16.7°, intensity 42; 2θ = 23.7°, intensity 39; 2θ = 48.4°, intensity 27; 2θ = 45.1°, intensity 20; 2θ = 80.8°, intensity 18; 2θ = 37.8°, intensity 18; 2θ = 54.6°, intensity 16; 2θ = 29.1°, intensity 15



[2]
Li2PmRuO4: calculated PXRD pattern (CuKα), based on a DFT-relaxed cell (GGA-PBE, Alexandria).

Structure:
abc: 5.909 5.909 5.909
angles: 140.59 133.82 62.28
Fractional positions:
Li: 0.000 0.000 0.000
Li: 0.845 0.345 0.500
Pm: 0.576 0.576 0.000
Ru: 0.277 0.777 0.500
O: 0.055 0.555 0.500
O: 0.281 0.281 0.000
O: 0.480 0.980 0.500
O: 0.802 0.802 0.000

Peak list (10 most intense, 2θ = 10–90°, in order of falling intensity)
2θ = 24.0°, intensity 100; 2θ = 21.1°, intensity 68; 2θ = 34.6°, intensity 67; 2θ = 32.9°, intensity 53; 2θ = 50.6°, intensity 37; 2θ = 38.9°, intensity 36; 2θ = 46.2°, intensity 34; 2θ = 35.5°, intensity 27; 2θ = 45.5°, intensity 22; 2θ = 57.3°, intensity 22



Please write out number 2 again, unchanged.
Li2PmRuO4: calculated PXRD pattern (CuKα), based on a DFT-relaxed cell (GGA-PBE, Alexandria).

Structure:
abc: 5.909 5.909 5.909
angles: 140.59 133.82 62.28
Fractional positions:
Li: 0.000 0.000 0.000
Li: 0.845 0.345 0.500
Pm: 0.576 0.576 0.000
Ru: 0.277 0.777 0.500
O: 0.055 0.555 0.500
O: 0.281 0.281 0.000
O: 0.480 0.980 0.500
O: 0.802 0.802 0.000

Peak list (10 most intense, 2θ = 10–90°, in order of falling intensity)
2θ = 24.0°, intensity 100; 2θ = 21.1°, intensity 68; 2θ = 34.6°, intensity 67; 2θ = 32.9°, intensity 53; 2θ = 50.6°, intensity 37; 2θ = 38.9°, intensity 36; 2θ = 46.2°, intensity 34; 2θ = 35.5°, intensity 27; 2θ = 45.5°, intensity 22; 2θ = 57.3°, intensity 22